Entry 1:
# PmPa2Os9
Calculated powder diffractogram, Cu Kα (weighted mean of Kα1 and Kα2). Input: a crystal structure in Alexandria, relaxed with PBE.
Lines closer than 0.1° are merged.

Principal peaks in the range 2θ = 5–70°, by angle:
- d = 2.934 Å, 2θ = 30.47°, rel. 14
- d = 2.701 Å, 2θ = 33.17°, rel. 28
- d = 2.642 Å, 2θ = 33.93°, rel. 27
- d = 2.280 Å, 2θ = 39.53°, rel. 31
- d = 2.273 Å, 2θ = 39.65°, rel. 100
- d = 2.230 Å, 2θ = 40.44°, rel. 24
- d = 2.165 Å, 2θ = 41.72°, rel. 18
- d = 2.148 Å, 2θ = 42.06°, rel. 19
- d = 2.104 Å, 2θ = 42.99°, rel. 38
- d = 1.443 Å, 2θ = 64.57°, rel. 24

Cell and atoms:
```
PmPa2Os9
1.0
2.6419 1.5253 8.9212
-2.6419 1.5253 8.9212
0.0000 -3.0506 8.9212
Pm Pa Os
1 2 9
Direct
0.0000 0.0000 0.0000
0.1396 0.1396 0.1396
0.8604 0.8604 0.8604
0.0769 0.5852 0.5852
0.3371 0.3371 0.3371
0.4148 0.4148 0.9231
0.4148 0.9231 0.4148
0.5000 0.5000 0.5000
0.5852 0.0769 0.5852
0.5852 0.5852 0.0769
0.6629 0.6629 0.6629
0.9231 0.4148 0.4148
```

Entry 2:
# SbH2OsO8
Calculated powder diffractogram, Cu Kα (weighted mean of Kα1 and Kα2). Input: a crystal structure in Alexandria, relaxed with PBE.
Lines closer than 0.1° are merged.

Principal peaks in the range 2θ = 5–70°, by angle:
- d = 5.205 Å, 2θ = 17.04°, rel. 100
- d = 4.966 Å, 2θ = 17.86°, rel. 83
- d = 3.830 Å, 2θ = 23.23°, rel. 54
- d = 3.394 Å, 2θ = 26.26°, rel. 30
- d = 2.903 Å, 2θ = 30.80°, rel. 17
- d = 2.830 Å, 2θ = 31.62°, rel. 14
- d = 2.560 Å, 2θ = 35.05°, rel. 17
- d = 2.536 Å, 2θ = 35.40°, rel. 18
- d = 2.142 Å, 2θ = 42.19°, rel. 25
- d = 1.961 Å, 2θ = 46.31°, rel. 15

Cell and atoms:
```
SbH2OsO8
1.0
5.1608 0.0000 0.0000
0.6187 5.2061 0.0000
1.4768 -0.1326 5.8064
Sb H Os O
1 2 1 8
Direct
0.0000 0.0000 0.0000
0.4854 0.7803 0.8449
0.5146 0.2197 0.1551
0.0000 0.0000 0.5000
0.1027 0.2169 0.7121
0.2142 0.1319 0.2118
0.2762 0.7620 0.5207
0.3002 0.7175 0.8851
0.6998 0.2825 0.1149
0.7238 0.2380 0.4793
0.7858 0.8681 0.7882
0.8973 0.7831 0.2879
```

Entry 3:
# Pa2SbSe2
Calculated powder diffractogram, Cu Kα (weighted mean of Kα1 and Kα2). Input: a crystal structure in Alexandria, relaxed with PBE.
Lines closer than 0.1° are merged.

Principal peaks in the range 2θ = 5–70°, by angle:
- d = 6.410 Å, 2θ = 13.82°, rel. 20
- d = 5.188 Å, 2θ = 17.09°, rel. 35
- d = 2.997 Å, 2θ = 29.81°, rel. 100
- d = 2.836 Å, 2θ = 31.54°, rel. 33
- d = 2.137 Å, 2θ = 42.30°, rel. 15
- d = 2.105 Å, 2θ = 42.97°, rel. 14
- d = 2.061 Å, 2θ = 43.94°, rel. 53
- d = 1.707 Å, 2θ = 53.71°, rel. 15
- d = 1.690 Å, 2θ = 54.27°, rel. 15
- d = 1.500 Å, 2θ = 61.88°, rel. 10

Cell and atoms:
```
Pa2SbSe2
1.0
-2.1051 2.8365 6.4098
2.1051 -2.8365 6.4098
2.1051 2.8365 -6.4098
Pa Sb Se
2 1 2
Direct
0.1722 0.1722 0.0000
0.8278 0.8278 0.0000
0.0000 0.5000 0.5000
0.3304 0.8304 0.5000
0.6696 0.1696 0.5000
```

Entry 4:
# Nb6Co16Ge7
Calculated powder diffractogram, Cu Kα (weighted mean of Kα1 and Kα2). Input: a crystal structure in Alexandria, relaxed with PBE.
Lines closer than 0.1° are merged.

Principal peaks in the range 2θ = 5–70°, by angle:
- d = 2.612 Å, 2θ = 34.34°, rel. 9
- d = 2.324 Å, 2θ = 38.75°, rel. 21
- d = 2.191 Å, 2θ = 41.20°, rel. 62
- d = 2.012 Å, 2θ = 45.05°, rel. 100
- d = 1.924 Å, 2θ = 47.23°, rel. 13
- d = 1.897 Å, 2θ = 47.95°, rel. 11
- d = 1.800 Å, 2θ = 50.72°, rel. 4
- d = 1.716 Å, 2θ = 53.38°, rel. 8
- d = 1.482 Å, 2θ = 62.68°, rel. 10
- d = 1.423 Å, 2θ = 65.60°, rel. 7

Cell and atoms:
```
Nb6Co16Ge7
1.0
0.0000 5.6922 5.6922
5.6922 0.0000 5.6922
5.6922 5.6922 0.0000
Nb Co Ge
6 16 7
Direct
0.2023 0.2023 0.7977
0.2023 0.7977 0.2023
0.2023 0.7977 0.7977
0.7977 0.2023 0.2023
0.7977 0.2023 0.7977
0.7977 0.7977 0.2023
0.1422 0.6193 0.6193
0.1656 0.1656 0.1656
0.1656 0.1656 0.5033
0.1656 0.5033 0.1656
0.3807 0.3807 0.3807
0.3807 0.3807 0.8578
0.3807 0.8578 0.3807
0.4967 0.8344 0.8344
0.5033 0.1656 0.1656
0.6193 0.1422 0.6193
0.6193 0.6193 0.1422
0.6193 0.6193 0.6193
0.8344 0.4967 0.8344
0.8344 0.8344 0.4967
0.8344 0.8344 0.8344
0.8578 0.3807 0.3807
0.0000 0.0000 0.5000
0.0000 0.5000 0.0000
0.0000 0.5000 0.5000
0.5000 0.0000 0.0000
0.5000 0.0000 0.5000
0.5000 0.5000 0.0000
0.5000 0.5000 0.5000
```

Entry 5:
# K2TiPt2O6
Calculated powder diffractogram, Cu Kα (weighted mean of Kα1 and Kα2). Input: a crystal structure in Alexandria, relaxed with PBE.
Lines closer than 0.1° are merged.

Principal peaks in the range 2θ = 5–70°, by angle:
- d = 6.150 Å, 2θ = 14.40°, rel. 100
- d = 4.449 Å, 2θ = 19.96°, rel. 17
- d = 3.075 Å, 2θ = 29.04°, rel. 25
- d = 2.731 Å, 2θ = 32.79°, rel. 16
- d = 2.677 Å, 2θ = 33.47°, rel. 18
- d = 2.628 Å, 2θ = 34.11°, rel. 27
- d = 2.541 Å, 2θ = 35.33°, rel. 26
- d = 2.311 Å, 2θ = 38.97°, rel. 37
- d = 2.221 Å, 2θ = 40.62°, rel. 16
- d = 1.785 Å, 2θ = 51.17°, rel. 15

Cell and atoms:
```
K2TiPt2O6
1.0
2.9233 -4.6064 0.0000
2.9233 4.6064 0.0000
-2.3460 0.0000 6.1498
K Ti Pt O
2 1 2 6
Direct
0.1786 0.8214 0.0000
0.8214 0.1786 0.0000
0.0000 0.0000 0.5000
0.3317 0.6683 0.5000
0.6683 0.3317 0.5000
0.0389 0.3577 0.6765
0.2643 0.2643 0.3410
0.3577 0.0389 0.6765
0.6423 0.9611 0.3235
0.7357 0.7357 0.6590
0.9611 0.6423 0.3235
```

Entry 6:
# Dy2InRh3
Calculated powder diffractogram, Cu Kα (weighted mean of Kα1 and Kα2). Input: a crystal structure in Alexandria, relaxed with PBE.
Lines closer than 0.1° are merged.

Principal peaks in the range 2θ = 5–70°, by angle:
- d = 3.875 Å, 2θ = 22.95°, rel. 1
- d = 3.356 Å, 2θ = 26.56°, rel. 3
- d = 2.819 Å, 2θ = 31.74°, rel. 1
- d = 2.373 Å, 2θ = 37.91°, rel. 100
- d = 2.024 Å, 2θ = 44.78°, rel. 1
- d = 1.938 Å, 2θ = 46.89°, rel. 1
- d = 1.678 Å, 2θ = 54.70°, rel. 17
- d = 1.540 Å, 2θ = 60.10°, rel. 1
- d = 1.501 Å, 2θ = 61.81°, rel. 1
- d = 1.370 Å, 2θ = 68.48°, rel. 34

Cell and atoms:
```
Dy2InRh3
1.0
4.7470 0.0000 0.0000
-2.3735 4.1110 0.0000
0.0000 0.0000 11.6209
Dy In Rh
4 2 6
Direct
0.0000 0.0000 0.0000
0.0000 0.0000 0.5000
0.3333 0.6667 0.1781
0.6667 0.3333 0.8219
0.3333 0.6667 0.6649
0.6667 0.3333 0.3351
0.0000 0.0000 0.2516
0.0000 0.0000 0.7484
0.3333 0.6667 0.4211
0.3333 0.6667 0.9153
0.6667 0.3333 0.0847
0.6667 0.3333 0.5789
```

Entry 7:
# InGaIBr4
Calculated powder diffractogram, Cu Kα (weighted mean of Kα1 and Kα2). Input: a crystal structure in Alexandria, relaxed with PBE.
Lines closer than 0.1° are merged.

Principal peaks in the range 2θ = 5–70°, by angle:
- d = 7.641 Å, 2θ = 11.58°, rel. 100
- d = 7.448 Å, 2θ = 11.88°, rel. 99
- d = 5.502 Å, 2θ = 16.11°, rel. 92
- d = 4.378 Å, 2θ = 20.28°, rel. 70
- d = 3.258 Å, 2θ = 27.37°, rel. 39
- d = 3.155 Å, 2θ = 28.29°, rel. 44
- d = 3.121 Å, 2θ = 28.60°, rel. 52
- d = 3.110 Å, 2θ = 28.70°, rel. 46
- d = 2.196 Å, 2θ = 41.11°, rel. 56
- d = 1.946 Å, 2θ = 46.68°, rel. 47

Cell and atoms:
```
InGaIBr4
1.0
8.3537 -4.3784 0.0000
8.3537 4.3784 0.0000
-3.5472 0.0000 9.4653
In Ga I Br
2 2 2 8
Direct
0.1168 0.1168 0.1725
0.8832 0.8832 0.8275
0.2926 0.2926 0.6642
0.7074 0.7074 0.3358
0.0630 0.0630 0.8490
0.9370 0.9370 0.1510
0.0824 0.5067 0.8190
0.1533 0.1533 0.4878
0.4043 0.4043 0.5815
0.4933 0.9176 0.1810
0.5067 0.0824 0.8190
0.5957 0.5957 0.4185
0.8467 0.8467 0.5122
0.9176 0.4933 0.1810
```

Entry 8:
# SmPu5Se6
Calculated powder diffractogram, Cu Kα (weighted mean of Kα1 and Kα2). Input: a crystal structure in Alexandria, relaxed with PBE.
Lines closer than 0.1° are merged.

Principal peaks in the range 2θ = 5–70°, by angle:
- d = 5.959 Å, 2θ = 14.87°, rel. 1
- d = 5.314 Å, 2θ = 16.68°, rel. 1
- d = 3.391 Å, 2θ = 26.28°, rel. 41
- d = 2.937 Å, 2θ = 30.44°, rel. 100
- d = 2.077 Å, 2θ = 43.58°, rel. 76
- d = 1.771 Å, 2θ = 51.61°, rel. 21
- d = 1.696 Å, 2θ = 54.08°, rel. 27
- d = 1.468 Å, 2θ = 63.33°, rel. 13
- d = 1.348 Å, 2θ = 69.77°, rel. 5
- d = 1.347 Å, 2θ = 69.81°, rel. 4

Cell and atoms:
```
SmPu5Se6
1.0
3.5986 -6.2283 0.0000
3.5986 6.2283 0.0000
-2.3979 0.0000 6.7818
Sm Pu Se
1 5 6
Direct
0.0000 0.0000 0.0000
0.1657 0.8343 0.5000
0.3332 0.6668 0.0000
0.5000 0.5000 0.5000
0.6668 0.3332 0.0000
0.8343 0.1657 0.5000
0.0839 0.4195 0.2515
0.2521 0.2521 0.7489
0.4195 0.0839 0.2515
0.5805 0.9161 0.7485
0.7479 0.7479 0.2511
0.9161 0.5805 0.7485
```

Copy entry 5 word for word.
# K2TiPt2O6
Calculated powder diffractogram, Cu Kα (weighted mean of Kα1 and Kα2). Input: a crystal structure in Alexandria, relaxed with PBE.
Lines closer than 0.1° are merged.

Principal peaks in the range 2θ = 5–70°, by angle:
- d = 6.150 Å, 2θ = 14.40°, rel. 100
- d = 4.449 Å, 2θ = 19.96°, rel. 17
- d = 3.075 Å, 2θ = 29.04°, rel. 25
- d = 2.731 Å, 2θ = 32.79°, rel. 16
- d = 2.677 Å, 2θ = 33.47°, rel. 18
- d = 2.628 Å, 2θ = 34.11°, rel. 27
- d = 2.541 Å, 2θ = 35.33°, rel. 26
- d = 2.311 Å, 2θ = 38.97°, rel. 37
- d = 2.221 Å, 2θ = 40.62°, rel. 16
- d = 1.785 Å, 2θ = 51.17°, rel. 15

Cell and atoms:
```
K2TiPt2O6
1.0
2.9233 -4.6064 0.0000
2.9233 4.6064 0.0000
-2.3460 0.0000 6.1498
K Ti Pt O
2 1 2 6
Direct
0.1786 0.8214 0.0000
0.8214 0.1786 0.0000
0.0000 0.0000 0.5000
0.3317 0.6683 0.5000
0.6683 0.3317 0.5000
0.0389 0.3577 0.6765
0.2643 0.2643 0.3410
0.3577 0.0389 0.6765
0.6423 0.9611 0.3235
0.7357 0.7357 0.6590
0.9611 0.6423 0.3235
```

Copy entry 2 word for word.
# SbH2OsO8
Calculated powder diffractogram, Cu Kα (weighted mean of Kα1 and Kα2). Input: a crystal structure in Alexandria, relaxed with PBE.
Lines closer than 0.1° are merged.

Principal peaks in the range 2θ = 5–70°, by angle:
- d = 5.205 Å, 2θ = 17.04°, rel. 100
- d = 4.966 Å, 2θ = 17.86°, rel. 83
- d = 3.830 Å, 2θ = 23.23°, rel. 54
- d = 3.394 Å, 2θ = 26.26°, rel. 30
- d = 2.903 Å, 2θ = 30.80°, rel. 17
- d = 2.830 Å, 2θ = 31.62°, rel. 14
- d = 2.560 Å, 2θ = 35.05°, rel. 17
- d = 2.536 Å, 2θ = 35.40°, rel. 18
- d = 2.142 Å, 2θ = 42.19°, rel. 25
- d = 1.961 Å, 2θ = 46.31°, rel. 15

Cell and atoms:
```
SbH2OsO8
1.0
5.1608 0.0000 0.0000
0.6187 5.2061 0.0000
1.4768 -0.1326 5.8064
Sb H Os O
1 2 1 8
Direct
0.0000 0.0000 0.0000
0.4854 0.7803 0.8449
0.5146 0.2197 0.1551
0.0000 0.0000 0.5000
0.1027 0.2169 0.7121
0.2142 0.1319 0.2118
0.2762 0.7620 0.5207
0.3002 0.7175 0.8851
0.6998 0.2825 0.1149
0.7238 0.2380 0.4793
0.7858 0.8681 0.7882
0.8973 0.7831 0.2879
```